For PmMgZn2Ga2, a GGA-PBE-relaxed structure gives the simulated X-ray powder pattern in this record (Cu Kα X-rays).
Neutral-atom scattering factors, no anomalous dispersion.

Principal peaks in the range 2θ from 15° to 90°, low angle first:
26.68 deg, I 41; 34.92 deg, I 100; 41.06 deg, I 70; 49.65 deg, I 8; 52.56 deg, I 9; 54.97 deg, I 27; 57.76 deg, I 13; 68.78 deg, I 23; 70.85 deg, I 24; 74.81 deg, I 11

Cell and atoms:
a = 4.3963 Å, b = 4.3963 Å, c = 6.9649 Å
α = 90.00°, β = 90.00°, γ = 120.00°
Space group P-3m1 (No. 164)
One atom of each set of equivalent atoms:
Pm 0.0000 0.0000 0.0000 [1 per cell]
Mg 0.0000 0.0000 0.5000 [1 per cell]
Zn 0.3333 0.6667 0.7168 [2 per cell]
Ga 0.3333 0.6667 0.2605 [2 per cell]